(1)
For Ni12Te, a crystal structure in OQMD, relaxed with GGA-PBE gives the computed powder XRD pattern in this record (Cu Kα, 1.54184 Å).

Structure:
```
data_Ni12Te
_chemical_formula_sum 'Ni24 Te2'
_symmetry_space_group_name_H-M 'P 1'
_symmetry_Int_Tables_number 1
_cell_length_a 5.9635
_cell_length_b 2.6571
_cell_length_c 31.8131
_cell_angle_alpha 90.00
_cell_angle_beta 92.47
_cell_angle_gamma 90.00
loop_
_symmetry_equiv_pos_as_xyz
'x,y,z'
loop_
_atom_site_label
_atom_site_type_symbol
_atom_site_fract_x
_atom_site_fract_y
_atom_site_fract_z
Ni1 Ni 0.0007 0.2500 0.0326
Ni2 Ni 0.0014 0.2500 0.7705
Ni3 Ni 0.0005 0.7500 0.0978
Ni4 Ni 0.0024 0.7500 0.8369
Ni5 Ni 0.3283 0.2500 0.2501
Ni6 Ni 0.3278 0.7500 0.1846
Ni7 Ni 0.3334 0.2500 0.1198
Ni8 Ni 0.3329 0.2500 0.9892
Ni9 Ni 0.3331 0.7500 0.9242
Ni10 Ni 0.3339 0.2500 0.8591
Ni11 Ni 0.3338 0.7500 0.0545
Ni12 Ni 0.3360 0.7500 0.7943
Ni13 Ni 0.6640 0.2500 0.2057
Ni14 Ni 0.6662 0.2500 0.9455
Ni15 Ni 0.6661 0.7500 0.1409
Ni16 Ni 0.6669 0.2500 0.0758
Ni17 Ni 0.6671 0.7500 0.0108
Ni18 Ni 0.6666 0.7500 0.8802
Ni19 Ni 0.6722 0.2500 0.8154
Ni20 Ni 0.6717 0.7500 0.7499
Ni21 Ni 0.9976 0.2500 0.1631
Ni22 Ni 0.9995 0.2500 0.9022
Ni23 Ni 0.9986 0.7500 0.2295
Ni24 Ni 0.9993 0.7500 0.9674
Te1 Te 0.3266 0.2500 0.7193
Te2 Te 0.6734 0.7500 0.2807
```

Largest 6 diffraction maxima, in order of rising 2θ, 5° ≤ 2θ ≤ 70°:
index  2θ/deg  I_rel
0 0 2  5.6  100
1 1 7  42.5  43
1 1 8  44.1  47
3 0 0  45.7  35
2 1 -7  49.6  27
2 1 -8  50.9  31

---

(2)
For Li2La2In2NiAg, a crystal structure in OQMD, relaxed with GGA-PBE gives the computed powder XRD pattern in this record (Cu Kα, 1.54184 Å).

Structure:
```
data_Li2La2In2NiAg
_chemical_formula_sum 'Li2 La2 In2 Ni1 Ag1'
_symmetry_space_group_name_H-M 'P 1'
_symmetry_Int_Tables_number 1
_cell_length_a 4.9208
_cell_length_b 4.9208
_cell_length_c 7.0969
_cell_angle_alpha 90.00
_cell_angle_beta 90.00
_cell_angle_gamma 90.00
loop_
_symmetry_equiv_pos_as_xyz
'x,y,z'
loop_
_atom_site_label
_atom_site_type_symbol
_atom_site_fract_x
_atom_site_fract_y
_atom_site_fract_z
Li1 Li 0.0000 0.0000 0.0000
Li2 Li 0.5000 0.5000 0.5000
La1 La 0.0000 0.5000 0.7306
La2 La 0.5000 0.0000 0.2694
In1 In 0.0000 0.5000 0.2595
In2 In 0.5000 0.0000 0.7405
Ni1 Ni 0.0000 0.0000 0.5000
Ag1 Ag 0.5000 0.5000 0.0000
```

Largest 6 diffraction maxima, in order of rising 2θ, 5° ≤ 2θ ≤ 70°:
index  2θ/deg  I_rel
1 0 1  22.0  23
1 1 0  25.6  27
1 1 2  36.2  100
2 0 0  36.5  50
2 2 0  52.6  17
3 1 2  65.5  34

---

(3)
For Nd2InPd4Pb, a crystal structure in OQMD, relaxed with GGA-PBE gives the computed powder XRD pattern in this record (Cu Kα, 1.54184 Å).

Structure:
```
data_Nd2InPd4Pb
_chemical_formula_sum 'Nd2 In1 Pd4 Pb1'
_symmetry_space_group_name_H-M 'P 1'
_symmetry_Int_Tables_number 1
_cell_length_a 4.6903
_cell_length_b 4.6903
_cell_length_c 9.1518
_cell_angle_alpha 90.00
_cell_angle_beta 90.00
_cell_angle_gamma 120.00
loop_
_symmetry_equiv_pos_as_xyz
'x,y,z'
loop_
_atom_site_label
_atom_site_type_symbol
_atom_site_fract_x
_atom_site_fract_y
_atom_site_fract_z
Nd1 Nd 0.3333 0.6667 0.2493
Nd2 Nd 0.6667 0.3333 0.7507
In1 In 0.0000 0.0000 0.0000
Pd1 Pd 0.3333 0.6667 0.5925
Pd2 Pd 0.3333 0.6667 0.9185
Pd3 Pd 0.6667 0.3333 0.0815
Pd4 Pd 0.6667 0.3333 0.4075
Pb1 Pb 0.0000 0.0000 0.5000
```

Largest 6 diffraction maxima, in order of rising 2θ, 5° ≤ 2θ ≤ 70°:
index  2θ/deg  I_rel
0 1 2  29.4  50
0 1 3  36.8  82
1 1 0  38.4  100
2 0 3  54.3  27
1 0 6  65.4  18
1 2 3  68.4  26

---

(4)
For Li2Mg3CdAu2, a crystal structure in OQMD, relaxed with GGA-PBE gives the computed powder XRD pattern in this record (Cu Kα, 1.54184 Å).

Structure:
```
data_Li2Mg3CdAu2
_chemical_formula_sum 'Li2 Mg3 Cd1 Au2'
_symmetry_space_group_name_H-M 'P 1'
_symmetry_Int_Tables_number 1
_cell_length_a 4.6368
_cell_length_b 4.6368
_cell_length_c 6.5627
_cell_angle_alpha 90.00
_cell_angle_beta 90.00
_cell_angle_gamma 90.00
loop_
_symmetry_equiv_pos_as_xyz
'x,y,z'
loop_
_atom_site_label
_atom_site_type_symbol
_atom_site_fract_x
_atom_site_fract_y
_atom_site_fract_z
Li1 Li 0.0000 0.5000 0.2435
Li2 Li 0.5000 0.0000 0.7565
Mg1 Mg 0.0000 0.0000 0.0000
Mg2 Mg 0.0000 0.0000 0.5000
Mg3 Mg 0.5000 0.5000 0.5000
Cd1 Cd 0.5000 0.5000 0.0000
Au1 Au 0.0000 0.5000 0.7374
Au2 Au 0.5000 0.0000 0.2626
```

Largest 6 diffraction maxima, in order of rising 2θ, 5° ≤ 2θ ≤ 70°:
index  2θ/deg  I_rel
1 0 1  23.5  100
1 1 0  27.2  15
2 0 0  38.8  95
2 1 1  45.9  52
2 2 0  56.1  16
3 0 1  61.6  21